# 1
For K5La4Si4O16F, the GGA-PBE geometry in the Materials Project gives the calculated powder XRD pattern in this record (Cu Kα (weighted mean of Kα1 and Kα2)).

Largest 10 diffraction maxima, low angle first, 2θ = 10–90°:
2θ 17.41, rel. 50
2θ 26.58, rel. 54
2θ 30.18, rel. 100
2θ 31.76, rel. 29
2θ 32.14, rel. 47
2θ 33.45, rel. 38
2θ 36.36, rel. 31
2θ 45.81, rel. 35
2θ 46.80, rel. 32
2θ 55.61, rel. 27

Atomic structure:
```
data_K5La4Si4O16F
_chemical_formula_sum 'K5 La4 Si4 O16 F1'
_cell_length_a 9.334
_cell_length_b 9.334
_cell_length_c 9.334
_cell_angle_alpha 95.11
_cell_angle_beta 95.11
_cell_angle_gamma 145.28
_space_group_name_H-M_alt 'P 1'
_space_group_IT_number 1
loop_
_space_group_symop_operation_xyz
'x,y,z'
loop_
_atom_site_label
_atom_site_fract_x
_atom_site_fract_y
_atom_site_fract_z
K1 0.000 0.000 0.000
K2 0.103 0.409 0.510
K3 0.406 0.897 0.306
K4 0.591 0.100 0.694
K5 0.900 0.594 0.490
La1 0.306 0.611 0.935
La2 0.389 0.324 0.695
La3 0.629 0.694 0.305
La4 0.676 0.371 0.065
Si1 0.105 0.757 0.856
Si2 0.243 0.099 0.348
Si3 0.751 0.895 0.652
Si4 0.901 0.249 0.144
O1 0.042 0.200 0.755
O2 0.111 0.620 0.738
O3 0.174 0.199 0.421
O4 0.208 0.450 0.169
O5 0.247 0.826 0.025
O6 0.281 0.039 0.831
O7 0.380 0.118 0.491
O8 0.445 0.288 0.245
O9 0.550 0.719 0.758
O10 0.627 0.889 0.509
O11 0.712 0.958 0.158
O12 0.778 0.753 0.579
O13 0.800 0.555 0.842
O14 0.801 0.222 0.975
O15 0.882 0.373 0.262
O16 0.961 0.792 0.242
F1 0.500 0.500 0.000
```


# 2
For K2LiNbF6, the GGA-PBE geometry in the Materials Project gives the calculated powder XRD pattern in this record (Cu Kα (weighted mean of Kα1 and Kα2)).

Largest 10 diffraction maxima, low angle first, 2θ = 10–90°:
2θ 18.33, rel. 90
2θ 21.20, rel. 21
2θ 30.15, rel. 100
2θ 35.52, rel. 52
2θ 37.15, rel. 18
2θ 43.16, rel. 77
2θ 47.26, rel. 23
2θ 53.55, rel. 38
2θ 62.69, rel. 43
2θ 86.97, rel. 19

Atomic structure:
```
data_K2LiNbF6
_chemical_formula_sum 'K2 Li1 Nb1 F6'
_cell_length_a 5.928
_cell_length_b 5.928
_cell_length_c 5.928
_cell_angle_alpha 60.00
_cell_angle_beta 60.00
_cell_angle_gamma 60.00
_space_group_name_H-M_alt 'P 1'
_space_group_IT_number 1
loop_
_space_group_symop_operation_xyz
'x,y,z'
loop_
_atom_site_label
_atom_site_fract_x
_atom_site_fract_y
_atom_site_fract_z
K1 0.250 0.250 0.250
K2 0.750 0.750 0.750
Li1 0.000 0.000 0.000
Nb1 0.500 0.500 0.500
F1 0.249 0.249 0.751
F2 0.249 0.751 0.249
F3 0.249 0.751 0.751
F4 0.751 0.249 0.249
F5 0.751 0.249 0.751
F6 0.751 0.751 0.249
```


# 3
For K2LiNdF6, the GGA-PBE geometry in the Materials Project gives the calculated powder XRD pattern in this record (Cu Kα (weighted mean of Kα1 and Kα2)).

Largest 10 diffraction maxima, low angle first, 2θ = 10–90°:
2θ 17.59, rel. 100
2θ 20.34, rel. 36
2θ 28.92, rel. 97
2θ 34.05, rel. 69
2θ 41.36, rel. 58
2θ 45.27, rel. 35
2θ 51.26, rel. 38
2θ 54.62, rel. 21
2θ 59.93, rel. 34
2θ 62.98, rel. 21

Atomic structure:
```
data_K2LiNdF6
_chemical_formula_sum 'K2 Li1 Nd1 F6'
_cell_length_a 6.174
_cell_length_b 6.174
_cell_length_c 6.174
_cell_angle_alpha 60.00
_cell_angle_beta 60.00
_cell_angle_gamma 60.00
_space_group_name_H-M_alt 'P 1'
_space_group_IT_number 1
loop_
_space_group_symop_operation_xyz
'x,y,z'
loop_
_atom_site_label
_atom_site_fract_x
_atom_site_fract_y
_atom_site_fract_z
K1 0.250 0.250 0.250
K2 0.750 0.750 0.750
Li1 0.000 0.000 0.000
Nd1 0.500 0.500 0.500
F1 0.240 0.240 0.760
F2 0.240 0.760 0.240
F3 0.240 0.760 0.760
F4 0.760 0.240 0.240
F5 0.760 0.240 0.760
F6 0.760 0.760 0.240
```